# CaTi2PbO6
Calculated powder diffraction line list, Cu Kα. Input: a cell relaxed with GGA-PBE.
Intensities are scaled so that the largest is 100.

Largest 10 diffraction maxima, most intense first, 5 to 70 degrees two-theta:
2θ = 31.7°, intensity 100.0; 2θ = 10.8°, intensity 65.8; 2θ = 25.3°, intensity 48.8; 2θ = 32.5°, intensity 46.2; 2θ = 57.4°, intensity 36.8; 2θ = 46.6°, intensity 32.7; 2θ = 39.4°, intensity 32.4; 2θ = 34.3°, intensity 22.2; 2θ = 56.0°, intensity 21.3; 2θ = 66.2°, intensity 16.8

Crystal structure
```
data_CaTi2PbO6
_space_group_name_H-M_alt 'P 4 m m'
_space_group_IT_number 99
_cell_length_a 3.9013
_cell_length_b 3.9013
_cell_length_c 8.1786
_cell_angle_alpha 90.00
_cell_angle_beta 90.00
_cell_angle_gamma 90.00
loop_
_space_group_symop_operation_xyz
'x,y,z'
'-y,x,z'
'-x,-y,z'
'y,-x,z'
'-x,y,z'
'y,x,z'
'x,-y,z'
'-y,-x,z'
loop_
_atom_site_label
_atom_site_type_symbol
_atom_site_fract_x
_atom_site_fract_y
_atom_site_fract_z
Ca1 Ca 0.0000 0.0000 0.0000
Ti1 Ti 0.5000 0.5000 0.2202
Ti2 Ti 0.5000 0.5000 0.7324
Pb1 Pb 0.0000 0.0000 0.4901
O1 O 0.0000 0.5000 0.1834
O2 O 0.0000 0.5000 0.7025
O3 O 0.5000 0.5000 0.4452
O4 O 0.5000 0.5000 0.9502
```